[1]
Structure and computed X-ray powder pattern of SnPd6Au (a cell relaxed with PBE; Cu Kα).

Most intense lines, 2θ from 10° to 80°, in order of rising 2θ:
| two_theta | I/Imax |
| --- | --- |
| 11.18 | 2 |
| 21.95 | 2 |
| 24.70 | 2 |
| 31.61 | 2 |
| 38.82 | 100 |
| 44.76 | 33 |
| 45.84 | 16 |
| 65.16 | 11 |
| 66.01 | 21 |
| 78.51 | 25 |

Structure:
Unit cell a=4.049 b=4.049 c=7.917 alpha=90.00 beta=90.00 gamma=90.00
Sites, in units of the cell vectors:
Sn1 0.000 0.000 0.000
Pd1 0.000 0.500 0.248
Pd2 0.000 0.500 0.752
Pd3 0.500 0.000 0.248
Pd4 0.500 0.000 0.752
Pd5 0.500 0.500 0.000
Pd6 0.500 0.500 0.500
Au1 0.000 0.000 0.500



[2]
Structure and computed X-ray powder pattern of VSnPdAu (a cell relaxed with PBE; Cu Kα).

Most intense lines, 2θ from 10° to 80°, in order of rising 2θ:
| two_theta | I/Imax |
| --- | --- |
| 23.60 | 10 |
| 27.31 | 14 |
| 39.01 | 100 |
| 46.10 | 5 |
| 48.28 | 4 |
| 56.35 | 17 |
| 61.94 | 2 |
| 63.73 | 6 |
| 70.66 | 35 |
| 75.67 | 2 |

Structure:
Unit cell a=6.531 b=6.531 c=6.531 alpha=90.00 beta=90.00 gamma=90.00
Sites, in units of the cell vectors:
V1 0.000 0.000 0.000
V2 0.000 0.500 0.500
V3 0.500 0.000 0.500
V4 0.500 0.500 0.000
Sn1 0.250 0.250 0.750
Sn2 0.250 0.750 0.250
Sn3 0.750 0.250 0.250
Sn4 0.750 0.750 0.750
Pd1 0.000 0.000 0.500
Pd2 0.000 0.500 0.000
Pd3 0.500 0.000 0.000
Pd4 0.500 0.500 0.500
Au1 0.250 0.250 0.250
Au2 0.250 0.750 0.750
Au3 0.750 0.250 0.750
Au4 0.750 0.750 0.250



[3]
Structure and computed X-ray powder pattern of Sr2Pd5Au12 (a cell relaxed with PBE; Cu Kα).

Most intense lines, 2θ from 10° to 80°, in order of rising 2θ:
| two_theta | I/Imax |
| --- | --- |
| 18.48 | 48 |
| 32.30 | 24 |
| 33.43 | 32 |
| 37.47 | 37 |
| 37.73 | 100 |
| 38.51 | 39 |
| 42.33 | 96 |
| 43.03 | 27 |
| 67.61 | 22 |
| 69.15 | 20 |

Structure:
Unit cell a=7.251 b=7.251 c=7.251 alpha=82.90 beta=82.90 gamma=82.90
Sites, in units of the cell vectors:
Sr1 0.168 0.168 0.168
Sr2 0.832 0.832 0.832
Pd1 0.000 0.500 0.500
Pd2 0.401 0.401 0.401
Pd3 0.500 0.000 0.500
Pd4 0.500 0.500 0.000
Pd5 0.599 0.599 0.599
Au1 0.153 0.153 0.650
Au2 0.153 0.650 0.153
Au3 0.201 0.500 0.799
Au4 0.201 0.799 0.500
Au5 0.350 0.847 0.847
Au6 0.500 0.201 0.799
Au7 0.500 0.799 0.201
Au8 0.650 0.153 0.153
Au9 0.799 0.201 0.500
Au10 0.799 0.500 0.201
Au11 0.847 0.350 0.847
Au12 0.847 0.847 0.350



[4]
Structure and computed X-ray powder pattern of SrPd2Au9 (a cell relaxed with PBE; Cu Kα).

Most intense lines, 2θ from 10° to 80°, in order of rising 2θ:
| two_theta | I/Imax |
| --- | --- |
| 15.61 | 21 |
| 34.87 | 65 |
| 35.35 | 51 |
| 37.42 | 20 |
| 40.08 | 19 |
| 40.77 | 32 |
| 41.62 | 100 |
| 43.26 | 24 |
| 63.15 | 24 |
| 67.74 | 15 |

Structure:
Unit cell a=8.835 b=8.835 c=8.835 alpha=100.04 beta=100.04 gamma=130.65
Sites, in units of the cell vectors:
Sr1 0.375 0.625 0.750
Sr2 0.625 0.375 0.250
Pd1 0.000 0.000 0.000
Pd2 0.000 0.000 0.500
Pd3 0.000 0.500 0.000
Pd4 0.500 0.000 0.500
Au1 0.125 0.875 0.250
Au2 0.133 0.558 0.333
Au3 0.133 0.800 0.575
Au4 0.200 0.275 0.333
Au5 0.200 0.867 0.925
Au6 0.275 0.200 0.833
Au7 0.275 0.442 0.075
Au8 0.442 0.275 0.575
Au9 0.442 0.867 0.167
Au10 0.558 0.133 0.833
Au11 0.558 0.725 0.425
Au12 0.725 0.558 0.925
Au13 0.725 0.800 0.167
Au14 0.800 0.133 0.075
Au15 0.800 0.725 0.667
Au16 0.867 0.200 0.425
Au17 0.867 0.442 0.667
Au18 0.875 0.125 0.750